For TbNiP, a crystal structure in the Materials Project, relaxed with PBE gives the computed powder X-ray diffraction pattern in this record (a wavelength of 1.5418 Å).
No peak broadening, texture or thermal motion is included.

Cell and atoms:
```
TbNiP
1.0
3.910 0.000 0.000
-1.955 3.386 0.000
0.000 0.000 15.541
Tb Ni P
4 4 4
direct
0.000 0.000 0.000
0.000 0.000 0.250
0.000 0.000 0.500
0.000 0.000 0.750
0.333 0.667 0.128
0.333 0.667 0.372
0.667 0.333 0.628
0.667 0.333 0.872
0.333 0.667 0.623
0.333 0.667 0.877
0.667 0.333 0.123
0.667 0.333 0.377
```

Main lines, sorted by position (15 to 90 degrees two-theta):
2θ (°)	I (rel.)
22.9	4.0
26.3	29.5
35.2	100.0
46.4	34.2
46.8	11.1
54.2	4.3
54.5	8.8
59.6	21.4
68.0	21.2
78.7	18.9
79.2	9.4
86.2	5.7

For MnSb, a crystal structure in the Materials Project, relaxed with PBE gives the computed powder X-ray diffraction pattern in this record (a wavelength of 1.5418 Å).
No peak broadening, texture or thermal motion is included.

Cell and atoms:
```
MnSb
1.0
3.366 0.000 0.000
0.000 3.366 0.000
0.000 0.000 3.366
Mn Sb
1 1
direct
0.000 0.000 0.000
0.500 0.500 0.500
```

Main lines, sorted by position (15 to 90 degrees two-theta):
2θ (°)	I (rel.)
26.5	16.8
37.8	100.0
46.7	5.0
54.5	16.6
61.6	6.9
68.2	32.8
80.7	10.2
86.8	3.7

For Mg14CrSb, a crystal structure in the Materials Project, relaxed with PBE gives the computed powder X-ray diffraction pattern in this record (a wavelength of 1.5418 Å).
No peak broadening, texture or thermal motion is included.

Cell and atoms:
```
Mg14CrSb
1.0
10.335 0.000 0.000
0.000 3.155 5.486
0.000 -3.155 5.486
Mg Cr Sb
14 1 1
direct
0.000 0.000 0.000
0.000 0.000 0.500
0.000 0.500 0.000
0.000 0.500 0.500
0.248 0.167 0.167
0.251 0.170 0.663
0.251 0.663 0.170
0.252 0.665 0.665
0.500 0.500 0.998
0.500 0.998 0.500
0.748 0.665 0.665
0.749 0.170 0.663
0.749 0.663 0.170
0.752 0.167 0.167
0.500 0.501 0.501
0.500 0.001 0.001
```

Main lines, sorted by position (15 to 90 degrees two-theta):
2θ (°)	I (rel.)
16.2	14.1
18.3	21.7
23.7	12.1
32.6	9.0
32.7	18.1
34.7	26.5
37.2	100.0
48.4	17.3
58.3	11.1
63.8	19.3
69.7	12.6
71.4	9.2

For CePd2, a crystal structure in the Materials Project, relaxed with PBE gives the computed powder X-ray diffraction pattern in this record (a wavelength of 1.5418 Å).
No peak broadening, texture or thermal motion is included.

Cell and atoms:
```
CePd2
1.0
3.959 0.000 0.000
0.000 3.959 0.000
0.000 0.000 8.637
Ce Pd
2 4
direct
0.000 0.000 0.000
0.500 0.500 0.500
0.000 0.500 0.250
0.000 0.500 0.750
0.500 0.000 0.250
0.500 0.000 0.750
```

Main lines, sorted by position (15 to 90 degrees two-theta):
2θ (°)	I (rel.)
24.7	48.4
38.3	100.0
38.7	14.9
41.8	19.5
45.8	29.9
52.8	12.1
61.5	7.6
63.8	22.0
66.8	9.5
74.1	14.1
79.8	23.0
82.1	10.7